Record 1
For Pu5Ge3C, DFT lattice parameters and positions (PBE) gives the theoretical XRD peak list in this record (λ = 1.5418 Å (Cu Kα)).
No peak broadening, texture or thermal motion is included.

Main lines, most intense first (2θ = 10–90°):
| d [Å] | Rel. int. |
| --- | --- |
| 2.564 | 100 |
| 2.436 | 63 |
| 2.850 | 49 |
| 2.739 | 37 |
| 2.513 | 26 |
| 1.615 | 25 |
| 1.749 | 25 |
| 1.645 | 24 |

Atomic structure:
Lattice parameters (Å, degrees): 8.7056 8.7056 5.8798 90.00 90.00 120.00
Space group P6_3/mcm (No. 193)
Symmetry-distinct sites (fractional):
1 Pu 0.0000 0.2264 0.2500 x6
2 Pu 0.3333 0.6667 0.0000 x4
3 Ge 0.0000 0.3982 0.7500 x6
4 C 0.0000 0.0000 0.0000 x2


Record 2
For Dy2Zn5Co5, DFT lattice parameters and positions (PBE) gives the theoretical XRD peak list in this record (λ = 1.5418 Å (Cu Kα)).
No peak broadening, texture or thermal motion is included.

Main lines, most intense first (2θ = 10–90°):
| d [Å] | Rel. int. |
| --- | --- |
| 2.162 | 100 |
| 2.975 | 46 |
| 2.138 | 46 |
| 2.027 | 37 |
| 2.555 | 33 |
| 2.190 | 28 |
| 1.374 | 22 |
| 2.225 | 17 |

Atomic structure:
Lattice parameters (Å, degrees): 4.054 5.031 8.898 90.00 90.00 90.00
Space group Pmmm (No. 47)
Symmetry-distinct sites (fractional):
1 Dy 0.000 0.000 0.000 x1
2 Dy 0.000 0.500 0.500 x1
3 Zn 0.000 0.000 0.324 x2
4 Zn 0.000 0.500 0.169 x2
5 Zn 0.500 0.000 0.500 x1
6 Co 0.500 0.246 0.240 x4
7 Co 0.500 0.500 0.000 x1


Record 3
For Sm2Al2MoRu5, DFT lattice parameters and positions (PBE) gives the theoretical XRD peak list in this record (λ = 1.5418 Å (Cu Kα)).
No peak broadening, texture or thermal motion is included.

Main lines, most intense first (2θ = 10–90°):
| d [Å] | Rel. int. |
| --- | --- |
| 2.296 | 100 |
| 2.481 | 66 |
| 2.655 | 44 |
| 2.411 | 23 |
| 2.422 | 22 |
| 2.140 | 22 |
| 1.362 | 20 |
| 2.287 | 18 |

Atomic structure:
Lattice parameters (Å, degrees): 10.229 10.229 3.260 90.00 90.00 90.00
Space group P4/mbm (No. 127)
Symmetry-distinct sites (fractional):
1 Sm 0.172 0.328 0.000 x4
2 Al 0.126 0.626 0.000 x4
3 Mo 0.000 0.000 0.000 x2
4 Ru 0.000 0.500 0.500 x2
5 Ru 0.064 0.803 0.500 x8


Record 4
For Cd16Pt7Au6, DFT lattice parameters and positions (PBE) gives the theoretical XRD peak list in this record (λ = 1.5418 Å (Cu Kα)).
No peak broadening, texture or thermal motion is included.

Main lines, most intense first (2θ = 10–90°):
| d [Å] | Rel. int. |
| --- | --- |
| 2.355 | 100 |
| 2.564 | 66 |
| 2.009 | 35 |
| 2.221 | 35 |
| 2.720 | 30 |
| 1.339 | 26 |
| 1.665 | 21 |
| 1.528 | 21 |

Atomic structure:
Lattice parameters (Å, degrees): 13.324 13.324 13.324 90.00 90.00 90.00
Space group Fm-3m (No. 225)
Symmetry-distinct sites (fractional):
1 Cd 0.120 0.120 0.120 x32
2 Cd 0.153 0.153 0.347 x32
3 Pt 0.000 0.000 0.000 x4
4 Pt 0.000 0.250 0.250 x24
5 Au 0.000 0.000 0.336 x24


Record 5
For LiAl2AsO6, DFT lattice parameters and positions (PBE) gives the theoretical XRD peak list in this record (λ = 1.5418 Å (Cu Kα)).
No peak broadening, texture or thermal motion is included.

Main lines, most intense first (2θ = 10–90°):
| d [Å] | Rel. int. |
| --- | --- |
| 3.690 | 100 |
| 4.868 | 71 |
| 2.820 | 35 |
| 3.319 | 32 |
| 3.947 | 31 |
| 3.034 | 24 |
| 1.715 | 21 |
| 2.280 | 18 |

Atomic structure:
Lattice parameters (Å, degrees): 8.795 10.975 5.553 90.00 116.15 90.00
Space group C2/c (No. 15)
Symmetry-distinct sites (fractional):
1 Li 0.000 0.070 0.250 x4
2 Al 0.131 0.423 0.170 x8
3 As 0.000 0.191 0.750 x4
4 O 0.106 0.267 0.043 x8
5 O 0.121 0.443 0.481 x8
6 O 0.126 0.090 0.677 x8